Diffraction record for K2HgGeO4. The XRD peak list is calculated, not measured: it uses a DFT-relaxed cell (GGA-PBE, Alexandria) and λ = 1.5418 Å (Cu Kα).
Peak positions follow from Bragg's law for the DFT cell and can differ from measured ones.

Main lines, in order of rising 2θ (10° ≤ 2θ ≤ 80°):
| Position (°2θ) | d [Å] | Rel. int. |
| --- | --- | --- |
| 18.61 | 4.767 | 79 |
| 29.29 | 3.049 | 46 |
| 31.27 | 2.860 | 100 |
| 34.93 | 2.569 | 28 |
| 41.90 | 2.156 | 24 |
| 48.92 | 1.862 | 14 |
| 53.20 | 1.722 | 42 |
| 56.86 | 1.619 | 20 |

```
K2HgGeO4
1.0
-3.0492 3.0492 3.8220
3.0492 -3.0492 3.8220
3.0492 3.0492 -3.8220
K Hg Ge O
2 1 1 4
Direct
0.0000 0.0000 0.0000 K
0.7500 0.2500 0.5000 K
0.2500 0.7500 0.5000 Hg
0.5000 0.5000 0.0000 Ge
0.2225 0.5712 0.0438 O
0.4288 0.4726 0.6513 O
0.5274 0.1787 0.9562 O
0.8213 0.7775 0.3487 O
```

***

Diffraction record for Rb19Au4O6. The XRD peak list is calculated, not measured: it uses a DFT-relaxed cell (GGA-PBE, Alexandria) and λ = 1.5418 Å (Cu Kα).
Peak positions follow from Bragg's law for the DFT cell and can differ from measured ones.

Main lines, in order of rising 2θ (10° ≤ 2θ ≤ 80°):
| Position (°2θ) | d [Å] | Rel. int. |
| --- | --- | --- |
| 16.69 | 5.313 | 27 |
| 29.11 | 3.068 | 100 |
| 41.64 | 2.169 | 19 |
| 42.83 | 2.111 | 7 |
| 49.53 | 1.841 | 6 |
| 51.61 | 1.771 | 21 |
| 57.53 | 1.602 | 15 |
| 71.80 | 1.315 | 7 |

```
Rb19Au4O6
1.0
-6.5072 6.5072 6.5072
6.5072 -6.5072 6.5072
6.5072 6.5072 -6.5072
Rb Au O
19 4 6
Direct
0.0000 0.0000 0.0000 Rb
0.0000 0.3601 0.3601 Rb
0.0000 0.6399 0.6399 Rb
0.0424 0.3608 0.7454 Rb
0.2546 0.6154 0.2970 Rb
0.2970 0.2546 0.6154 Rb
0.3184 0.9576 0.7030 Rb
0.3601 0.0000 0.3601 Rb
0.3601 0.3601 0.0000 Rb
0.3608 0.7454 0.0424 Rb
0.3846 0.6392 0.6816 Rb
0.6154 0.2970 0.2546 Rb
0.6392 0.6816 0.3846 Rb
0.6399 0.0000 0.6399 Rb
0.6399 0.6399 0.0000 Rb
0.6816 0.3846 0.6392 Rb
0.7030 0.3184 0.9576 Rb
0.7454 0.0424 0.3608 Rb
0.9576 0.7030 0.3184 Rb
0.0000 0.0000 0.6398 Au
0.0000 0.6398 0.0000 Au
0.3602 0.3602 0.3602 Au
0.6398 0.0000 0.0000 Au
0.1610 0.6610 0.5000 O
0.3390 0.5000 0.8390 O
0.5000 0.1610 0.6610 O
0.5000 0.8390 0.3390 O
0.6610 0.5000 0.1610 O
0.8390 0.3390 0.5000 O
```